This entry pairs a crystal structure of KTi2Cr2O7 with its simulated X-ray diffraction stick pattern. Radiation: Cu Kα (weighted mean of Kα1 and Kα2). Structure: a PBE+U-relaxed structure.
Lines closer than 0.1° are merged.

Structure:
```
KTi2Cr2O7
1.0
-1.978 8.251 2.278
1.978 -8.251 2.278
1.978 8.251 -2.278
K Ti Cr O
1 2 2 7
direct
0.000 0.000 0.000 K
0.378 0.991 0.388 Ti
0.603 0.991 0.612 Ti
0.313 0.566 0.747 Cr
0.819 0.566 0.253 Cr
0.226 0.602 0.623 O
0.341 0.077 0.264 O
0.431 0.560 0.871 O
0.553 0.053 0.500 O
0.689 0.560 0.129 O
0.813 0.077 0.736 O
0.979 0.602 0.377 O
```

Largest 10 diffraction maxima, low angle first, 2θ from 10° to 90°:
2theta  I (rel.)
10.72  77.9
25.39  29.7
27.77  25.1
31.86  100.0
33.53  24.8
39.56  61.8
43.89  47.9
45.87  48.7
60.56  24.2
62.14  25.9